Starting from the PBE geometry in Alexandria, the powder XRD pattern of Na6Ti2O7 was computed for Cu Kα (λ = 1.5418 Å).
Neutral-atom scattering factors, no anomalous dispersion.

Cell and atoms:
Cell lengths 8.913, 5.397, 10.348 Å; angles 90.00, 117.24, 90.00 degrees
Space group P2/c (No. 13)
Asymmetric unit:
1 Na 0.065 0.200 0.153 x4
2 Na 0.335 0.227 0.619 x4
3 Na 0.428 0.223 0.365 x4
4 Ti 0.211 0.303 0.894 x4
5 O 0.000 0.166 0.750 x2
6 O 0.191 0.364 0.387 x4
7 O 0.272 0.207 0.082 x4
8 O 0.387 0.225 0.858 x4

Largest 8 diffraction maxima, in order of rising 2θ, 2θ = 10–90°:
2θ/deg, I/Imax, (hkl)
17.30, 62.8, 1 0 -2
24.32, 32.7, 1 1 1
32.15, 62.0, 2 1 -3
32.90, 46.6, 2 1 1
33.20, 100.0, 0 2 0
39.16, 64.2, 0 0 4
40.50, 60.5, 4 0 -2
53.33, 35.5, 4 2 -2



Starting from the PBE geometry in Alexandria, the powder XRD pattern of Na2Ti12O25 was computed for Cu Kα (λ = 1.5418 Å).
Neutral-atom scattering factors, no anomalous dispersion.

Cell and atoms:
Cell lengths 9.396, 3.757, 14.605 Å; angles 90.00, 105.88, 90.00 degrees
Space group P2/m (No. 10)
Asymmetric unit:
1 Na 0.211 0.000 0.461 x2
2 Ti 0.102 0.500 0.260 x2
3 Ti 0.136 0.000 0.094 x2
4 Ti 0.183 0.000 0.854 x2
5 Ti 0.187 0.500 0.675 x2
6 Ti 0.470 0.000 0.796 x2
7 Ti 0.493 0.500 0.625 x2
8 O 0.018 0.500 0.366 x2
9 O 0.066 0.000 0.223 x2
10 O 0.108 0.000 0.962 x2
11 O 0.124 0.500 0.123 x2
12 O 0.144 0.500 0.817 x2
13 O 0.219 0.000 0.716 x2
14 O 0.263 0.500 0.575 x2
15 O 0.290 0.500 0.329 x2
16 O 0.339 0.000 0.139 x2
17 O 0.380 0.000 0.896 x2
18 O 0.430 0.500 0.757 x2
19 O 0.491 0.000 0.656 x2
20 O 0.500 0.500 0.500 x1

Largest 8 diffraction maxima, in order of rising 2θ, 2θ = 10–90°:
2θ/deg, I/Imax, (hkl)
12.60, 100.0, 0 0 2
13.02, 60.6, 1 0 1
24.53, 68.9, 0 1 1
29.66, 45.5, 3 0 0
30.49, 45.6, 0 1 3
32.60, 38.1, 2 0 -5
42.21, 35.1, 4 0 1
48.46, 39.7, 0 2 0



Starting from the PBE geometry in Alexandria, the powder XRD pattern of NaTi2O4 was computed for Cu Kα (λ = 1.5418 Å).
Neutral-atom scattering factors, no anomalous dispersion.

Cell and atoms:
Cell lengths 8.254, 3.902, 9.853 Å; angles 90.00, 90.00, 90.00 degrees
Space group Pnma (No. 62)
Asymmetric unit:
1 Na 0.033 0.250 0.130 x4
2 Ti 0.131 0.750 0.471 x4
3 Ti 0.175 0.250 0.727 x4
4 O 0.091 0.750 0.275 x4
5 O 0.127 0.250 0.512 x4
6 O 0.141 0.250 0.915 x4
7 O 0.173 0.750 0.683 x4

Largest 8 diffraction maxima, in order of rising 2θ, 2θ = 10–90°:
2θ/deg, I/Imax, (hkl)
14.00, 100.0, 1 0 1
24.54, 82.5, 0 1 1
26.85, 77.5, 1 1 1
33.82, 56.5, 3 0 1
36.52, 51.7, 0 0 4
44.88, 42.6, 4 0 1
46.55, 86.9, 0 2 0
51.99, 56.2, 0 1 5



Starting from the PBE geometry in Alexandria, the powder XRD pattern of Na4Ti5O12 was computed for Cu Kα (λ = 1.5418 Å).
Neutral-atom scattering factors, no anomalous dispersion.

Cell and atoms:
Cell lengths 5.949, 6.444, 13.461 Å; angles 95.88, 96.32, 90.01 degrees
Space group P-1 (No. 2)
Asymmetric unit:
1 Na 0.154 0.397 0.113 x2
2 Na 0.201 0.671 0.301 x2
3 Na 0.279 0.411 0.617 x2
4 Na 0.343 0.587 0.874 x2
5 Ti 0.046 0.838 0.690 x2
6 Ti 0.148 0.900 0.084 x2
7 Ti 0.248 0.977 0.491 x2
8 Ti 0.353 0.097 0.911 x2
9 Ti 0.451 0.162 0.311 x2
10 O 0.018 0.126 0.584 x2
11 O 0.058 0.600 0.739 x2
12 O 0.101 0.287 0.910 x2
13 O 0.109 0.884 0.936 x2
14 O 0.182 0.006 0.230 x2
15 O 0.227 0.222 0.409 x2
16 O 0.273 0.773 0.593 x2
17 O 0.317 0.987 0.771 x2
18 O 0.391 0.114 0.063 x2
19 O 0.397 0.713 0.092 x2
20 O 0.438 0.400 0.261 x2
21 O 0.476 0.874 0.415 x2

Largest 8 diffraction maxima, in order of rising 2θ, 2θ = 10–90°:
2θ/deg, I/Imax, (hkl)
13.82, 100.0, 0 1 0
20.20, 37.2, 0 1 2
32.74, 20.7, 0 2 -3
33.67, 24.3, 0 0 5
34.54, 29.0, 2 0 2
41.31, 28.4, 2 -2 0
41.88, 36.5, -2 1 4
53.97, 18.5, 2 2 4